Diffraction record for YbFeGe2O7. The X-ray powder pattern is simulated, not measured: it uses a GGA+U-relaxed structure and copper Kα.

Largest 10 diffraction maxima, sorted by position, 5 to 70 degrees two-theta:
d = 6.007 Å, 2θ = 14.7°, intensity 16.4; d = 3.332 Å, 2θ = 26.8°, intensity 28.9; d = 3.237 Å, 2θ = 27.6°, intensity 100.0; d = 3.003 Å, 2θ = 29.7°, intensity 45.8; d = 2.659 Å, 2θ = 33.7°, intensity 16.4; d = 2.637 Å, 2θ = 34.0°, intensity 34.3; d = 2.527 Å, 2θ = 35.5°, intensity 17.2; d = 1.929 Å, 2θ = 47.1°, intensity 17.9; d = 1.727 Å, 2θ = 53.0°, intensity 17.6; d = 1.568 Å, 2θ = 58.9°, intensity 14.5

Cell: 6.9620 6.9620 6.7422 Å, 110.75 110.75 77.43°
Fractional coordinates of all 22 atoms:
1 Yb 0.2041 0.7959 0.0000
2 Yb 0.7959 0.2041 0.0000
3 Fe 0.3039 0.6961 0.5000
4 Fe 0.6961 0.3039 0.5000
5 Ge 0.2196 0.2196 0.5195
6 Ge 0.3043 0.3043 0.0763
7 Ge 0.6957 0.6957 0.9237
8 Ge 0.7804 0.7804 0.4805
9 O 0.0513 0.7234 0.5921
10 O 0.1330 0.1330 0.0314
11 O 0.2158 0.5686 0.1738
12 O 0.2766 0.9487 0.4079
13 O 0.3161 0.3161 0.8152
14 O 0.3660 0.3660 0.4616
15 O 0.4314 0.7842 0.8262
16 O 0.5686 0.2158 0.1738
17 O 0.6340 0.6340 0.5384
18 O 0.6839 0.6839 0.1848
19 O 0.7234 0.0513 0.5921
20 O 0.7842 0.4314 0.8262
21 O 0.8670 0.8670 0.9686
22 O 0.9487 0.2766 0.4079